Structure and calculated powder XRD pattern of CaB2Cl8 (a crystal structure in Alexandria, relaxed with GGA-PBE; Cu Kα (λ = 1.5418 Å)).
Peak positions follow from Bragg's law for the DFT cell and can differ from measured ones.

abc: 9.887 9.887 9.360
angles: 116.89 116.89 57.44
Positions (direct):
Ca1 0.026 0.974 0.750
Ca2 0.974 0.026 0.250
B1 0.141 0.666 0.934
B2 0.334 0.859 0.566
B3 0.666 0.141 0.434
B4 0.859 0.334 0.066
Cl1 0.050 0.264 0.008
Cl2 0.079 0.651 0.707
Cl3 0.154 0.788 0.445
Cl4 0.212 0.846 0.055
Cl5 0.264 0.050 0.508
Cl6 0.304 0.475 0.982
Cl7 0.349 0.921 0.793
Cl8 0.475 0.304 0.482
Cl9 0.525 0.696 0.518
Cl10 0.651 0.079 0.207
Cl11 0.696 0.525 0.018
Cl12 0.736 0.950 0.492
Cl13 0.788 0.154 0.945
Cl14 0.846 0.212 0.555
Cl15 0.921 0.349 0.293
Cl16 0.950 0.736 0.992

Largest 10 diffraction maxima, low angle first, 10° ≤ 2θ ≤ 80°:
| d/Å | 2θ/deg | I/Imax |
| --- | --- | --- |
| 8.006 | 11.1 | 100 |
| 7.429 | 11.9 | 82 |
| 5.012 | 17.7 | 58 |
| 4.913 | 18.1 | 60 |
| 4.010 | 22.2 | 33 |
| 3.019 | 29.6 | 72 |
| 3.000 | 29.8 | 25 |
| 2.778 | 32.2 | 41 |
| 2.305 | 39.1 | 35 |
| 2.044 | 44.3 | 28 |